SmUPb2S6: theoretical powder diffraction line list (Cu Kα X-rays), based on a PBE-relaxed structure.
Lines closer than 0.1° are merged.

Atomic structure:
a b c (Å): 7.2226 7.2226 18.5082
angles (deg): 90.00 90.00 120.00
Space group R3 (No. 146, hexagonal axes)
Symmetry-distinct sites (fractional):
Sm1 0.0000 0.0000 0.0000
U1 0.0000 0.0000 0.5038
Pb1 0.0000 0.0000 0.2046
Pb2 0.0000 0.0000 0.7082
S1 0.0020 0.3957 0.7625
S2 0.0288 0.6272 0.2590

The 12 most intense peaks (2θ from 10° to 90°), in order of rising 2θ:
- (0 1 2), 17.11 deg, intensity 31
- (1 0 4), 23.92 deg, intensity 87
- (1 1 0), 24.65 deg, intensity 100
- (0 2 4), 34.62 deg, intensity 47
- (1 1 6), 38.38 deg, intensity 63
- (2 1 4), 42.96 deg, intensity 44
- (3 0 0), 43.40 deg, intensity 39
- (2 2 0), 50.55 deg, intensity 18
- (1 0 10), 51.49 deg, intensity 19
- (4 -3 4), 56.67 deg, intensity 16
- (4 -2 6), 59.30 deg, intensity 15
- (3 -1 10), 63.87 deg, intensity 19

La7Tl3Pb: theoretical powder diffraction line list (Cu Kα X-rays), based on a PBE-relaxed structure.
Lines closer than 0.1° are merged.

Atomic structure:
a b c (Å): 11.6591 12.1953 6.1848
angles (deg): 90.00 121.75 90.00
Space group C2/m (No. 12)
Symmetry-distinct sites (fractional):
La1 0.0000 0.0000 0.0000
La2 0.1648 0.2611 0.6653
La3 0.1688 0.5000 0.1677
Tl1 0.0000 0.2635 0.0000
Tl2 0.0000 0.5000 0.5000
Pb1 0.0000 0.0000 0.5000

The 12 most intense peaks (2θ from 10° to 90°), in order of rising 2θ:
- (2 0 0), 17.89 deg, intensity 28
- (2 0 -2), 28.87 deg, intensity 100
- (0 4 0), 29.29 deg, intensity 92
- (3 3 -1), 31.94 deg, intensity 18
- (2 2 1), 34.04 deg, intensity 91
- (4 2 -1), 34.15 deg, intensity 97
- (2 4 -2), 41.60 deg, intensity 71
- (0 2 3), 54.46 deg, intensity 24
- (6 2 -3), 54.71 deg, intensity 24
- (2 6 1), 55.08 deg, intensity 41
- (6 0 0), 55.61 deg, intensity 18
- (8 0 -2), 64.07 deg, intensity 30

TmNbBiO6: theoretical powder diffraction line list (Cu Kα X-rays), based on a PBE-relaxed structure.
Lines closer than 0.1° are merged.

Atomic structure:
a b c (Å): 5.0126 5.0126 10.1129
angles (deg): 90.00 90.00 90.00
Space group P4_2nm (No. 102)
Symmetry-distinct sites (fractional):
Tm1 0.0000 0.0000 0.0000
Nb1 0.0000 0.0000 0.3359
Bi1 0.0000 0.0000 0.6698
O1 0.1839 0.1839 0.1781
O2 0.1886 0.1886 0.4823
O3 0.2123 0.2123 0.8346

The 12 most intense peaks (2θ from 10° to 90°), in order of rising 2θ:
- (1 0 1), 19.77 deg, intensity 12
- (1 1 0), 25.12 deg, intensity 100
- (1 0 3), 32.00 deg, intensity 88
- (2 0 0), 35.83 deg, intensity 27
- (2 1 3), 48.79 deg, intensity 70
- (2 2 0), 51.57 deg, intensity 17
- (3 1 0), 58.20 deg, intensity 17
- (1 1 6), 60.86 deg, intensity 17
- (3 0 3), 61.99 deg, intensity 20
- (3 2 3), 73.72 deg, intensity 16
- (3 1 6), 83.77 deg, intensity 13
- (4 1 3), 84.77 deg, intensity 13